Computed PXRD pattern of Tb2PrAg2 for Cu Kα, 1.54184 Å, from a cell relaxed with PBE.

Cell lengths 3.682, 5.375, 13.761 Å; angles 90.00, 97.64, 90.00 degrees
Space group P2_1/m (No. 11)
Inequivalent atoms, fractional coordinates:
1 Tb 0.048 0.250 0.095
2 Tb 0.235 0.250 0.469
3 Pr 0.145 0.750 0.290
4 Ag 0.358 0.750 0.715
5 Ag 0.456 0.250 0.913

Most intense lines, 2θ = 10–90°, sorted by position:
2θ = 32.8°, intensity 21, hkl 0 0 5
2θ = 33.3°, intensity 28, hkl 0 2 0
2θ = 33.8°, intensity 100, hkl 1 1 2
2θ = 47.5°, intensity 15, hkl 0 2 5
2θ = 59.2°, intensity 10, hkl 1 1 7
2θ = 59.9°, intensity 19, hkl 1 3 2

=====

Computed PXRD pattern of SrPt4Se8 for Cu Kα, 1.54184 Å, from a cell relaxed with PBE.

Cell lengths 7.6259, 7.6259, 21.5947 Å; angles 90.00, 90.00, 120.00 degrees
Space group R-3m (No. 166, hexagonal axes)
Inequivalent atoms, fractional coordinates:
1 Sr 0.0000 0.0000 0.0000
2 Pt 0.0000 0.0000 0.5000
3 Pt 0.0000 0.5000 0.5000
4 Se 0.0000 0.0000 0.2276
5 Se 0.0054 0.5027 0.7734

Most intense lines, 2θ = 10–90°, sorted by position:
2θ = 12.3°, intensity 100, hkl 0 0 3
2θ = 31.8°, intensity 69, hkl 0 2 4
2θ = 40.0°, intensity 29, hkl 0 2 7
2θ = 43.3°, intensity 19, hkl 2 0 8
2θ = 47.7°, intensity 26, hkl 2 2 0
2θ = 49.5°, intensity 19, hkl 2 2 3